Starting from a structure optimized by DFT (GGA+U), the powder diffractogram of Fe2BiBr2O2 was computed for Cu Kα (weighted mean of Kα1 and Kα2).
Peak positions follow from Bragg's law for the DFT cell and can differ from measured ones.

Main lines, in order of rising 2θ (10° ≤ 2θ ≤ 90°):
hkl 0 0 1, 2θ 13.7, I 28.2
hkl 1 1 1, 2θ 26.3, I 100.0
hkl 0 2 1, 2θ 30.2, I 49.9
hkl 0 1 -2, 2θ 32.0, I 46.8
hkl 1 2 -1, 2θ 39.6, I 39.1
hkl 1 3 2, 2θ 47.1, I 30.3

Structural model:
a b c (Å): 3.628 6.668 6.718
angles (deg): 81.79 74.45 74.27
Space group P-1 (No. 2)
Symmetry-distinct sites (fractional):
Fe 0.186 0.441 0.187
Bi 0.000 0.000 0.000
Br 0.089 0.234 0.597
O 0.227 0.653 0.893